(1)
Computed PXRD pattern of Nd8Ga2Pt for a wavelength of 1.5418 Å, from DFT lattice parameters and positions (GGA-PBE).

Principal peaks in the range 10 to 90 degrees two-theta, sorted by position:
| 2theta | Rel. int. |
| --- | --- |
| 23.43 | 17 |
| 31.48 | 24 |
| 31.93 | 13 |
| 33.76 | 34 |
| 34.31 | 100 |
| 50.43 | 11 |
| 60.74 | 19 |
| 62.07 | 12 |
| 62.91 | 11 |
| 85.76 | 10 |

```
Nd8Ga2Pt
1.0
9.1293 -2.6551 0.0000
9.1293 2.6551 0.0000
-2.7681 0.0000 6.5515
Nd Ga Pt
8 2 1
Cartesian
-0.6805 0.0000 1.6231
16.1711 0.0000 4.9284
1.7049 0.0000 4.5760
4.9394 0.0000 4.1340
6.4171 0.0000 0.6671
9.0735 0.0000 5.8844
10.5512 0.0000 2.4175
13.7856 0.0000 1.9755
2.8624 0.0000 1.2059
12.6281 0.0000 5.3456
7.7453 0.0000 3.2758
```

(2)
Computed PXRD pattern of Th4InSn for a wavelength of 1.5418 Å, from DFT lattice parameters and positions (GGA-PBE).

Principal peaks in the range 10 to 90 degrees two-theta, sorted by position:
| 2theta | Rel. int. |
| --- | --- |
| 28.73 | 12 |
| 29.57 | 100 |
| 33.16 | 22 |
| 36.77 | 32 |
| 37.12 | 18 |
| 50.87 | 12 |
| 51.42 | 22 |
| 56.04 | 15 |
| 58.74 | 18 |
| 66.90 | 15 |

```
Th4InSn
1.0
7.7304 0.0000 0.0000
0.0000 7.7304 0.0000
0.0000 0.0000 6.2146
Th In Sn
8 2 2
Cartesian
1.1833 2.6700 0.0000
1.1833 5.0603 3.1073
2.6700 1.1833 3.1073
2.6700 6.5471 0.0000
5.0603 1.1833 0.0000
5.0603 6.5471 3.1073
6.5471 2.6700 3.1073
6.5471 5.0603 0.0000
3.8652 3.8652 1.5537
3.8652 3.8652 4.6610
0.0000 0.0000 1.5537
0.0000 0.0000 4.6610
```

(3)
Computed PXRD pattern of Tb3Si8Ru3 for a wavelength of 1.5418 Å, from DFT lattice parameters and positions (GGA-PBE).

Principal peaks in the range 10 to 90 degrees two-theta, sorted by position:
| 2theta | Rel. int. |
| --- | --- |
| 23.92 | 30 |
| 29.62 | 100 |
| 31.39 | 61 |
| 35.45 | 71 |
| 36.01 | 48 |
| 36.23 | 27 |
| 38.62 | 31 |
| 42.07 | 26 |
| 43.71 | 51 |
| 57.87 | 24 |

```
Tb3Si8Ru3
1.0
7.5401 -2.0712 0.0000
7.5401 2.0712 0.0000
-4.1054 0.0000 7.4381
Tb Si Ru
3 8 3
Cartesian
0.0000 0.0000 0.0000
3.0234 0.0000 2.5652
7.9514 0.0000 4.8729
0.1685 0.0000 2.8446
-1.3151 0.0000 6.2610
2.3968 0.0000 5.5776
6.0759 0.0000 2.2054
4.8989 0.0000 5.2327
8.5780 0.0000 1.8605
12.2898 0.0000 1.1771
10.8063 0.0000 4.5935
-2.0527 0.0000 3.7191
0.8276 0.0000 7.3953
10.1472 0.0000 0.0428
```

Q: Number 2 is which compound?
A: Th4InSn